(1)
In10Pb6S21: simulated XRD peak list (CuKα), based on DFT lattice parameters and positions (PBE).

Largest 10 diffraction maxima, by angle, 2θ from 5° to 70°:
2theta  I/Imax  h k l
22.95  47  1 1 0
24.79  48  4 0 -4
25.67  100  8 0 -1
26.66  55  6 0 3
31.89  99  5 1 -3
32.08  49  10 0 -1
32.49  66  1 1 4
37.03  37  9 1 -1
46.40  56  0 2 0
46.66  41  1 1 7

Structural model:
Cell lengths 27.999, 3.914, 15.940 Å; angles 90.00, 95.22, 90.00 degrees
Space group C2/m (No. 12)
Symmetry-distinct sites (fractional):
1 In 0.013 0.000 0.129 x4
2 In 0.100 0.500 0.981 x4
3 In 0.188 0.000 0.485 x4
4 In 0.215 0.500 0.692 x4
5 In 0.235 0.000 0.892 x4
6 Pb 0.050 0.500 0.432 x4
7 Pb 0.074 0.500 0.706 x4
8 Pb 0.137 0.500 0.241 x4
9 S 0.000 0.500 0.000 x2
10 S 0.026 0.500 0.236 x4
11 S 0.035 0.000 0.593 x4
12 S 0.079 0.000 0.873 x4
13 S 0.102 0.000 0.096 x4
14 S 0.118 0.000 0.367 x4
15 S 0.151 0.500 0.565 x4
16 S 0.172 0.000 0.761 x4
17 S 0.196 0.500 0.976 x4
18 S 0.219 0.000 0.188 x4
19 S 0.236 0.500 0.402 x4

=====

(2)
In2SnPb: simulated XRD peak list (CuKα), based on DFT lattice parameters and positions (PBE).

Largest 10 diffraction maxima, by angle, 2θ from 5° to 70°:
2theta  I/Imax  h k l
8.34  10  0 0 1
28.28  4  1 0 1
31.91  100  1 0 2
33.80  21  0 0 4
38.52  30  1 1 0
52.17  25  1 1 4
55.62  10  2 0 0
59.28  17  1 0 6
65.57  25  2 1 2
66.69  12  2 0 4

Structural model:
Cell lengths 3.305, 3.305, 10.608 Å; angles 90.00, 90.00, 90.00 degrees
Space group P4mm (No. 99)
Symmetry-distinct sites (fractional):
1 In 0.000 0.000 0.000 x1
2 In 0.500 0.500 0.249 x1
3 Sn 0.500 0.500 0.754 x1
4 Pb 0.000 0.000 0.503 x1

=====

(3)
Sr3In4Pb: simulated XRD peak list (CuKα), based on DFT lattice parameters and positions (PBE).

Largest 10 diffraction maxima, by angle, 2θ from 5° to 70°:
2theta  I/Imax  h k l
21.44  23  0 2 3
28.43  100  1 1 4
28.66  28  1 3 1
29.30  22  0 4 0
30.12  25  1 3 2
31.68  24  0 0 6
32.39  60  1 3 3
33.40  22  0 4 3
35.37  62  1 3 4
35.47  55  2 0 0

Structural model:
Cell lengths 5.061, 12.193, 16.949 Å; angles 90.00, 90.00, 90.00 degrees
Space group Cmcm (No. 63)
Symmetry-distinct sites (fractional):
1 Sr 0.000 0.088 0.111 x8
2 Sr 0.000 0.364 0.250 x4
3 In 0.000 0.207 0.597 x8
4 In 0.000 0.387 0.036 x8
5 Pb 0.000 0.346 0.750 x4